Entry 1:
Diffraction record for Cs2ReN2. The powder diffractogram is computed, not measured: it uses a crystal structure in Alexandria, relaxed with GGA-PBE and CuKα.
Peak positions follow from Bragg's law for the DFT cell and can differ from measured ones.

Largest 6 diffraction maxima, by intensity, 2θ from 10° to 90°:
(0 2 1), 13.1°, d 6.746, rel. 100.0; (0 4 2), 26.4°, d 3.373, rel. 70.9; (1 1 2), 31.6°, d 2.831, rel. 44.2; (1 5 0), 33.3°, d 2.688, rel. 40.8; (1 1 1), 26.6°, d 3.346, rel. 40.8; (1 3 1), 29.6°, d 3.021, rel. 34.9

Cell and atoms:
```
data_Cs2ReN2
_cell_length_a 3.6529
_cell_length_b 19.8556
_cell_length_c 9.1944
_cell_angle_alpha 90.00
_cell_angle_beta 90.00
_cell_angle_gamma 90.00
_space_group_name_H-M_alt 'C m c 21'
_space_group_IT_number 36
_space_group_name_Hall 'C 2c -2'
loop_
_atom_site_label
_atom_site_type_symbol
_atom_site_fract_x
_atom_site_fract_y
_atom_site_fract_z
Cs1 Cs 0.0000 0.0201 0.0000
Cs2 Cs 0.0000 0.2145 0.4048
Re1 Re 0.0000 0.3717 0.1906
N1 N 0.0000 0.1417 0.7592
N2 N 0.0000 0.4007 0.0125
```

=====

Entry 2:
Diffraction record for Na2LiB2. The powder diffractogram is computed, not measured: it uses a crystal structure in Alexandria, relaxed with GGA-PBE and CuKα.
Peak positions follow from Bragg's law for the DFT cell and can differ from measured ones.

Largest 6 diffraction maxima, by intensity, 2θ from 10° to 90°:
(2 0 0), 34.4°, d 2.604, rel. 100.0; (1 1 2), 37.3°, d 2.409, rel. 95.6; (1 1 4), 63.6°, d 1.462, rel. 53.6; (2 0 2), 45.0°, d 2.016, rel. 34.4; (0 0 2), 28.0°, d 3.184, rel. 33.2; (1 1 0), 24.2°, d 3.683, rel. 32.5

Cell and atoms:
```
data_Na2LiB2
_cell_length_a 5.2085
_cell_length_b 5.2085
_cell_length_c 6.3688
_cell_angle_alpha 90.00
_cell_angle_beta 90.00
_cell_angle_gamma 90.00
_space_group_name_H-M_alt 'I 4/m m m'
_space_group_IT_number 139
_space_group_name_Hall '-I 4 2'
loop_
_atom_site_label
_atom_site_type_symbol
_atom_site_fract_x
_atom_site_fract_y
_atom_site_fract_z
Na1 Na 0.0000 0.5000 0.2500
Li1 Li 0.0000 0.0000 0.0000
B1 B 0.0000 0.0000 0.3773
```

=====

Entry 3:
Diffraction record for Ba2Tl3Hg9. The powder diffractogram is computed, not measured: it uses a crystal structure in Alexandria, relaxed with GGA-PBE and CuKα.
Peak positions follow from Bragg's law for the DFT cell and can differ from measured ones.

Largest 6 diffraction maxima, by intensity, 2θ from 10° to 90°:
(3 1 3), 30.7°, d 2.914, rel. 100.0; (3 3 0), 33.5°, d 2.672, rel. 99.6; (3 3 2), 37.2°, d 2.414, rel. 34.5; (0 2 4), 37.4°, d 2.404, rel. 33.8; (6 4 3), 58.2°, d 1.585, rel. 28.7; (5 1 2), 33.6°, d 2.666, rel. 19.7

Cell and atoms:
```
data_Ba2Tl3Hg9
_cell_length_a 16.0143
_cell_length_b 9.2698
_cell_length_c 11.2508
_cell_angle_alpha 90.00
_cell_angle_beta 90.00
_cell_angle_gamma 90.00
_space_group_name_H-M_alt 'C m c m'
_space_group_IT_number 63
_space_group_name_Hall '-C 2c 2'
loop_
_atom_site_label
_atom_site_type_symbol
_atom_site_fract_x
_atom_site_fract_y
_atom_site_fract_z
Ba1 Ba 0.1601 0.1676 0.2500
Tl1 Tl 0.0000 0.0000 0.0000
Tl2 Tl 0.1845 0.5000 0.0000
Hg1 Hg 0.0000 0.1381 0.7500
Hg2 Hg 0.0000 0.3370 0.0614
Hg3 Hg 0.0980 0.4506 0.7500
Hg4 Hg 0.1623 0.1769 0.5945
```

=====

Entry 4:
Diffraction record for BaS4O. The powder diffractogram is computed, not measured: it uses a crystal structure in Alexandria, relaxed with GGA-PBE and CuKα.
Peak positions follow from Bragg's law for the DFT cell and can differ from measured ones.

Largest 6 diffraction maxima, by intensity, 2θ from 10° to 90°:
(1 1 1), 17.5°, d 5.060, rel. 100.0; (1 2 2), 30.4°, d 2.939, rel. 82.5; (3 2 0), 36.1°, d 2.486, rel. 77.0; (2 1 1), 25.1°, d 3.549, rel. 40.5; (0 1 1), 14.2°, d 6.249, rel. 36.6; (3 1 1), 34.3°, d 2.612, rel. 26.5

Cell and atoms:
```
data_BaS4O
_cell_length_a 8.6246
_cell_length_b 9.8768
_cell_length_c 8.0688
_cell_angle_alpha 90.00
_cell_angle_beta 90.00
_cell_angle_gamma 90.00
_space_group_name_H-M_alt 'P 21 21 2'
_space_group_IT_number 18
_space_group_name_Hall 'P 2 2ab'
loop_
_atom_site_label
_atom_site_type_symbol
_atom_site_fract_x
_atom_site_fract_y
_atom_site_fract_z
Ba1 Ba 0.2492 0.1379 0.2470
S1 S 0.0229 0.1056 0.6257
S2 S 0.1065 0.8303 0.4316
S3 S 0.1204 0.4758 0.1387
S4 S 0.1355 0.3483 0.9435
O1 O 0.0000 0.0000 0.2287
O2 O 0.0000 0.5000 0.7362
```

=====

Q: Which formula does entry 2 have?
A: Na2LiB2

=====

Q: What is the formula in the third record?
A: Ba2Tl3Hg9